Record 1
Diffraction record for Ta2MoH3. The powder X-ray diffraction pattern is calculated, not measured: it uses a structure optimized by DFT (PBE) and λ = 1.5418 Å (Cu Kα).

Atomic structure:
```
data_Ta2MoH3
_chemical_formula_sum 'Ta2 Mo1 H3'
_symmetry_space_group_name_H-M 'P 1'
_symmetry_Int_Tables_number 1
_symmetry_space_group_name_Hall 'P 1'
_cell_length_a 5.245
_cell_length_b 5.245
_cell_length_c 3.056
_cell_angle_alpha 106.61
_cell_angle_beta 106.61
_cell_angle_gamma 46.23
loop_
_atom_site_label
_atom_site_type_symbol
_atom_site_fract_x
_atom_site_fract_y
_atom_site_fract_z
Ta1 Ta 0.165 0.165 0.166
Ta2 Ta 0.835 0.835 0.834
Mo1 Mo 0.500 0.500 0.500
H1 H 0.000 0.000 0.500
H2 H 0.340 0.340 0.841
H3 H 0.660 0.660 0.159
```

Main lines, low angle first (2θ from 10° to 80°):
2theta	d [Å]	Rel. int.
36.61	2.454	100
41.66	2.168	19
41.93	2.155	19
43.97	2.059	15
60.59	1.528	12
62.17	1.493	11
72.72	1.300	14
73.11	1.294	13
75.99	1.252	12
77.83	1.227	12

=====

Record 2
Diffraction record for Rb2BeGaAs2. The powder X-ray diffraction pattern is calculated, not measured: it uses a structure optimized by DFT (PBE) and λ = 1.5418 Å (Cu Kα).

Atomic structure:
```
data_Rb2BeGaAs2
_chemical_formula_sum 'Rb4 Be2 Ga2 As4'
_symmetry_space_group_name_H-M 'P 1'
_symmetry_Int_Tables_number 1
_symmetry_space_group_name_Hall 'P 1'
_cell_length_a 9.156
_cell_length_b 9.156
_cell_length_c 9.156
_cell_angle_alpha 138.92
_cell_angle_beta 58.94
_cell_angle_gamma 139.66
loop_
_atom_site_label
_atom_site_type_symbol
_atom_site_fract_x
_atom_site_fract_y
_atom_site_fract_z
Rb1 Rb 0.167 0.239 0.406
Rb2 Rb 0.333 0.739 0.071
Rb3 Rb 0.667 0.261 0.929
Rb4 Rb 0.833 0.761 0.594
Be1 Be 0.250 0.750 0.500
Be2 Be 0.750 0.250 0.500
Ga1 Ga 0.250 0.250 0.000
Ga2 Ga 0.750 0.750 0.000
As1 As 0.079 0.714 0.793
As2 As 0.421 0.214 0.636
As3 As 0.579 0.786 0.364
As4 As 0.921 0.286 0.207
```

Main lines, low angle first (2θ from 10° to 80°):
2theta	d [Å]	Rel. int.
11.10	7.971	18
27.77	3.213	18
28.27	3.157	20
29.94	2.984	100
35.91	2.501	21
36.30	2.475	17
40.04	2.252	39
50.05	1.822	17
50.49	1.808	17
51.09	1.788	21